Starting from the PBE geometry in Alexandria, the powder XRD pattern of ThI3Cl was simulated for copper Kα.
Lines closer than 0.1° are merged.

Main lines, in order of rising 2θ (10° ≤ 2θ ≤ 90°):
2θ/deg, I/Imax
11.14, 100
12.72, 27
14.26, 55
23.97, 86
25.61, 34
30.96, 81
33.44, 32
37.07, 49
37.77, 21
38.83, 23

Structure:
```
data_ThI3Cl
_chemical_formula_sum 'Th2 I6 Cl2'
_cell_length_a 9.309
_cell_length_b 9.309
_cell_length_c 9.309
_cell_angle_alpha 53.64
_cell_angle_beta 53.64
_cell_angle_gamma 53.64
_symmetry_space_group_name_H-M 'P 1'
_symmetry_Int_Tables_number 1
_symmetry_space_group_name_Hall 'P 1'
loop_
_atom_site_label
_atom_site_type_symbol
_atom_site_fract_x
_atom_site_fract_y
_atom_site_fract_z
_atom_site_occupancy
Th1 Th 0.198 0.198 0.198 1
Th2 Th 0.802 0.802 0.802 1
I1 I 0.121 0.816 0.382 1
I2 I 0.184 0.618 0.879 1
I3 I 0.382 0.121 0.816 1
I4 I 0.618 0.879 0.184 1
I5 I 0.816 0.382 0.121 1
I6 I 0.879 0.184 0.618 1
Cl1 Cl 0.305 0.305 0.305 1
Cl2 Cl 0.695 0.695 0.695 1
```